(1)
Simulated powder X-ray diffraction pattern
Compound: KCdPb3
Radiation: a wavelength of 1.5418 Å
Structure: the PBE geometry in Alexandria
Kinematic intensities with the Lorentz-polarization factor, no thermal factor.

Peak list (10 most intense, 2θ = 10–90°, in order of falling intensity)
two_theta, intensity
27.85, 1000
37.38, 829
14.04, 523
32.37, 410
35.74, 315
19.01, 262
48.99, 259
61.07, 204
27.66, 201
43.06, 192

```
data_KCdPb3
_chemical_formula_sum 'K2 Cd2 Pb6'
_symmetry_space_group_name_H-M 'C 1 2 1'
_symmetry_Int_Tables_number 5
_cell_length_a 7.469
_cell_length_b 12.618
_cell_length_c 5.024
_cell_angle_alpha 90.00
_cell_angle_beta 132.22
_cell_angle_gamma 90.00
loop_
_symmetry_equiv_pos_as_xyz
'x,y,z'
'-x,y,-z'
'x+1/2,y+1/2,z'
'-x+1/2,y+1/2,-z'
loop_
_atom_site_label
_atom_site_fract_x
_atom_site_fract_y
_atom_site_fract_z
_atom_site_occupancy
K1 0.000 0.000 0.000 1
Cd1 0.000 0.624 0.000 1
Pb1 0.000 0.238 0.500 1
Pb2 0.000 0.391 0.000 1
Pb3 0.000 0.759 0.500 1
```

=====

(2)
Simulated powder X-ray diffraction pattern
Compound: InPH
Radiation: a wavelength of 1.5418 Å
Structure: the PBE geometry in Alexandria
Kinematic intensities with the Lorentz-polarization factor, no thermal factor.

Peak list (10 most intense, 2θ = 10–90°, in order of falling intensity)
two_theta, intensity
17.44, 1000
22.26, 638
26.70, 486
41.57, 416
30.04, 413
32.37, 374
27.36, 353
44.45, 296
45.87, 287
32.09, 287

```
data_InPH
_chemical_formula_sum 'In4 P4 H4'
_symmetry_space_group_name_H-M 'C 1 2/m 1'
_symmetry_Int_Tables_number 12
_cell_length_a 11.820
_cell_length_b 4.278
_cell_length_c 5.386
_cell_angle_alpha 90.00
_cell_angle_beta 109.28
_cell_angle_gamma 90.00
loop_
_symmetry_equiv_pos_as_xyz
'x,y,z'
'-x,-y,-z'
'-x,y,-z'
'x,-y,z'
'x+1/2,y+1/2,z'
'-x+1/2,-y+1/2,-z'
'-x+1/2,y+1/2,-z'
'x+1/2,-y+1/2,z'
loop_
_atom_site_label
_atom_site_fract_x
_atom_site_fract_y
_atom_site_fract_z
_atom_site_occupancy
In1 0.104 0.000 0.429 1
P1 0.172 0.500 0.239 1
H1 0.143 0.500 0.960 1
```

=====

(3)
Simulated powder X-ray diffraction pattern
Compound: NdVCo
Radiation: a wavelength of 1.5418 Å
Structure: the PBE geometry in Alexandria
Kinematic intensities with the Lorentz-polarization factor, no thermal factor.

Peak list (10 most intense, 2θ = 10–90°, in order of falling intensity)
two_theta, intensity
34.83, 1000
38.81, 614
31.67, 562
41.91, 468
35.43, 404
30.97, 302
66.18, 297
58.10, 186
62.93, 171
60.39, 161

```
data_NdVCo
_chemical_formula_sum 'Nd4 V4 Co4'
_symmetry_space_group_name_H-M 'C m c m'
_symmetry_Int_Tables_number 63
_symmetry_space_group_name_Hall '-C 2c 2'
_cell_length_a 3.377
_cell_length_b 11.497
_cell_length_c 5.775
_cell_angle_alpha 90.00
_cell_angle_beta 90.00
_cell_angle_gamma 90.00
loop_
_atom_site_label
_atom_site_fract_x
_atom_site_fract_y
_atom_site_fract_z
_atom_site_occupancy
Nd1 0.000 0.202 0.250 1
V1 0.000 0.500 0.000 1
Co1 0.000 0.074 0.750 1
```

=====

(4)
Simulated powder X-ray diffraction pattern
Compound: BaEuYSbO6
Radiation: a wavelength of 1.5418 Å
Structure: the PBE geometry in Alexandria
Kinematic intensities with the Lorentz-polarization factor, no thermal factor.

Peak list (10 most intense, 2θ = 10–90°, in order of falling intensity)
two_theta, intensity
29.87, 1000
53.02, 401
42.75, 302
85.98, 213
62.05, 186
70.38, 177
78.29, 62
36.80, 52
18.16, 19
74.37, 15

```
data_BaEuYSbO6
_chemical_formula_sum 'Ba4 Eu4 Y4 Sb4 O24'
_symmetry_space_group_name_H-M 'F -4 3 m'
_symmetry_Int_Tables_number 216
_symmetry_space_group_name_Hall 'F -4 2 3'
_cell_length_a 8.461
_cell_length_b 8.461
_cell_length_c 8.461
_cell_angle_alpha 90.00
_cell_angle_beta 90.00
_cell_angle_gamma 90.00
loop_
_atom_site_label
_atom_site_fract_x
_atom_site_fract_y
_atom_site_fract_z
_atom_site_occupancy
Ba1 0.000 0.000 0.000 1
Eu1 0.000 0.000 0.500 1
Y1 0.250 0.250 0.750 1
Sb1 0.250 0.250 0.250 1
O1 0.013 0.250 0.250 1
```

=====

(5)
Simulated powder X-ray diffraction pattern
Compound: Rb2TiCl7
Radiation: a wavelength of 1.5418 Å
Structure: the PBE geometry in Alexandria
Kinematic intensities with the Lorentz-polarization factor, no thermal factor.

Peak list (10 most intense, 2θ = 10–90°, in order of falling intensity)
two_theta, intensity
31.04, 1000
29.44, 995
24.95, 692
21.81, 532
51.18, 429
44.47, 285
39.64, 282
40.23, 258
65.69, 238
61.08, 206

```
data_Rb2TiCl7
_chemical_formula_sum 'Rb4 Ti2 Cl14'
_symmetry_space_group_name_H-M 'I 4/m m m'
_symmetry_Int_Tables_number 139
_symmetry_space_group_name_Hall '-I 4 2'
_cell_length_a 8.148
_cell_length_b 8.148
_cell_length_c 9.094
_cell_angle_alpha 90.00
_cell_angle_beta 90.00
_cell_angle_gamma 90.00
loop_
_atom_site_label
_atom_site_fract_x
_atom_site_fract_y
_atom_site_fract_z
_atom_site_occupancy
Rb1 0.000 0.500 0.250 1
Ti1 0.000 0.000 0.000 1
Cl1 0.000 0.000 0.244 1
Cl2 0.000 0.000 0.500 1
Cl3 0.208 0.208 0.000 1
```

=====

(6)
Simulated powder X-ray diffraction pattern
Compound: Ba6Lu2Ga4O15
Radiation: a wavelength of 1.5418 Å
Structure: the PBE geometry in Alexandria
Kinematic intensities with the Lorentz-polarization factor, no thermal factor.

Peak list (10 most intense, 2θ = 10–90°, in order of falling intensity)
two_theta, intensity
30.27, 1000
30.80, 965
29.80, 540
28.86, 494
41.96, 467
55.31, 247
45.44, 223
53.51, 200
53.19, 180
51.69, 159

```
data_Ba6Lu2Ga4O15
_chemical_formula_sum 'Ba12 Lu4 Ga8 O30'
_symmetry_space_group_name_H-M 'P 1 2/c 1'
_symmetry_Int_Tables_number 13
_cell_length_a 7.987
_cell_length_b 5.996
_cell_length_c 18.568
_cell_angle_alpha 90.00
_cell_angle_beta 91.39
_cell_angle_gamma 90.00
loop_
_symmetry_equiv_pos_as_xyz
'x,y,z'
'-x,-y,-z'
'-x,y,-z+1/2'
'x,-y,z+1/2'
loop_
_atom_site_label
_atom_site_fract_x
_atom_site_fract_y
_atom_site_fract_z
_atom_site_occupancy
Ba1 0.000 0.175 0.250 1
Ba2 0.001 0.254 0.579 1
Ba3 0.474 0.249 0.911 1
Ba4 0.500 0.225 0.250 1
Lu1 0.252 0.248 0.089 1
Ga1 0.254 0.246 0.443 1
Ga2 0.270 0.270 0.732 1
O1 0.029 0.254 0.411 1
O2 0.187 0.165 0.816 1
O3 0.223 0.462 0.186 1
O4 0.255 0.040 0.663 1
O5 0.266 0.015 0.000 1
O6 0.266 0.488 0.509 1
O7 0.455 0.265 0.393 1
O8 0.500 0.307 0.750 1
```

=====

(7)
Simulated powder X-ray diffraction pattern
Compound: K2RbSnS4
Radiation: a wavelength of 1.5418 Å
Structure: the PBE geometry in Alexandria
Kinematic intensities with the Lorentz-polarization factor, no thermal factor.

Peak list (10 most intense, 2θ = 10–90°, in order of falling intensity)
two_theta, intensity
25.90, 1000
40.93, 622
15.42, 426
31.14, 396
21.88, 363
47.92, 241
15.01, 198
30.29, 177
50.22, 170
62.14, 147

```
data_K2RbSnS4
_chemical_formula_sum 'K4 Rb2 Sn2 S8'
_symmetry_space_group_name_H-M 'I -4 2 m'
_symmetry_Int_Tables_number 121
_symmetry_space_group_name_Hall 'I -4 2'
_cell_length_a 8.124
_cell_length_b 8.124
_cell_length_c 8.589
_cell_angle_alpha 90.00
_cell_angle_beta 90.00
_cell_angle_gamma 90.00
loop_
_atom_site_label
_atom_site_fract_x
_atom_site_fract_y
_atom_site_fract_z
_atom_site_occupancy
K1 0.000 0.500 0.250 1
Rb1 0.000 0.000 0.000 1
Sn1 0.000 0.000 0.500 1
S1 0.176 0.176 0.346 1
```

=====

(8)
Simulated powder X-ray diffraction pattern
Compound: ThNi6Pt6
Radiation: a wavelength of 1.5418 Å
Structure: the PBE geometry in Alexandria
Kinematic intensities with the Lorentz-polarization factor, no thermal factor.

Peak list (10 most intense, 2θ = 10–90°, in order of falling intensity)
two_theta, intensity
35.87, 1000
41.53, 779
41.36, 423
75.20, 342
46.72, 323
41.68, 207
41.11, 205
35.52, 201
46.36, 197
20.22, 184

```
data_ThNi6Pt6
_chemical_formula_sum 'Th2 Ni12 Pt12'
_symmetry_space_group_name_H-M 'I m m m'
_symmetry_Int_Tables_number 71
_symmetry_space_group_name_Hall '-I 2 2'
_cell_length_a 5.010
_cell_length_b 8.663
_cell_length_c 8.782
_cell_angle_alpha 90.00
_cell_angle_beta 90.00
_cell_angle_gamma 90.00
loop_
_atom_site_label
_atom_site_fract_x
_atom_site_fract_y
_atom_site_fract_z
_atom_site_occupancy
Th1 0.000 0.000 0.000 1
Ni1 0.000 0.500 0.266 1
Ni2 0.250 0.250 0.250 1
Pt1 0.000 0.000 0.341 1
Pt2 0.000 0.298 0.500 1
Pt3 0.000 0.344 0.000 1
```

=====

(9)
Simulated powder X-ray diffraction pattern
Compound: Y3Zn2Pd
Radiation: a wavelength of 1.5418 Å
Structure: the PBE geometry in Alexandria
Kinematic intensities with the Lorentz-polarization factor, no thermal factor.

Peak list (10 most intense, 2θ = 10–90°, in order of falling intensity)
two_theta, intensity
35.83, 1000
35.49, 515
63.94, 349
51.06, 177
64.60, 168
75.93, 103
52.07, 83
85.91, 76
86.11, 75
87.70, 71

```
data_Y3Zn2Pd
_chemical_formula_sum 'Y3 Zn2 Pd1'
_symmetry_space_group_name_H-M 'P 4/m m m'
_symmetry_Int_Tables_number 123
_symmetry_space_group_name_Hall '-P 4 2'
_cell_length_a 3.578
_cell_length_b 3.578
_cell_length_c 10.538
_cell_angle_alpha 90.00
_cell_angle_beta 90.00
_cell_angle_gamma 90.00
loop_
_atom_site_label
_atom_site_fract_x
_atom_site_fract_y
_atom_site_fract_z
_atom_site_occupancy
Y1 0.000 0.000 0.000 1
Y2 0.000 0.000 0.337 1
Zn1 0.500 0.500 0.165 1
Pd1 0.500 0.500 0.500 1
```

=====

(10)
Simulated powder X-ray diffraction pattern
Compound: Ca3Sn2Ge2Au4
Radiation: a wavelength of 1.5418 Å
Structure: the PBE geometry in Alexandria
Kinematic intensities with the Lorentz-polarization factor, no thermal factor.

Peak list (10 most intense, 2θ = 10–90°, in order of falling intensity)
two_theta, intensity
38.62, 1000
34.53, 684
25.67, 509
22.01, 509
47.31, 444
26.26, 347
45.99, 316
52.76, 204
67.26, 197
69.88, 176

```
data_Ca3Sn2Ge2Au4
_chemical_formula_sum 'Ca3 Sn2 Ge2 Au4'
_symmetry_space_group_name_H-M 'P -3 m 1'
_symmetry_Int_Tables_number 164
_symmetry_space_group_name_Hall '-P 3 2"'
_cell_length_a 4.6628
_cell_length_b 4.6628
_cell_length_c 13.5726
_cell_angle_alpha 90.00
_cell_angle_beta 90.00
_cell_angle_gamma 120.00
loop_
_atom_site_label
_atom_site_fract_x
_atom_site_fract_y
_atom_site_fract_z
_atom_site_occupancy
Ca1 0.0000 0.0000 0.0000 1
Ca2 0.0000 0.0000 0.2618 1
Sn1 0.3333 0.6667 0.5719 1
Ge1 0.3333 0.6667 0.1518 1
Au1 0.3333 0.6667 0.3613 1
Au2 0.3333 0.6667 0.8692 1
```

=====

(11)
Simulated powder X-ray diffraction pattern
Compound: Cr2Pd6Au
Radiation: a wavelength of 1.5418 Å
Structure: the PBE geometry in Alexandria
Kinematic intensities with the Lorentz-polarization factor, no thermal factor.

Peak list (10 most intense, 2θ = 10–90°, in order of falling intensity)
two_theta, intensity
39.58, 1000
67.82, 192
45.07, 173
45.19, 169
47.77, 142
79.61, 128
79.44, 125
65.73, 108
83.40, 105
85.24, 103

```
data_Cr2Pd6Au
_chemical_formula_sum 'Cr8 Pd24 Au4'
_symmetry_space_group_name_H-M 'F m m m'
_symmetry_Int_Tables_number 69
_symmetry_space_group_name_Hall '-F 2 2'
_cell_length_a 4.023
_cell_length_b 11.423
_cell_length_c 12.039
_cell_angle_alpha 90.00
_cell_angle_beta 90.00
_cell_angle_gamma 90.00
loop_
_atom_site_label
_atom_site_fract_x
_atom_site_fract_y
_atom_site_fract_z
_atom_site_occupancy
Cr1 0.000 0.000 0.162 1
Pd1 0.000 0.160 0.329 1
Pd2 0.000 0.167 0.000 1
Au1 0.000 0.000 0.500 1
```

=====

(12)
Simulated powder X-ray diffraction pattern
Compound: InTePd3
Radiation: a wavelength of 1.5418 Å
Structure: the PBE geometry in Alexandria
Kinematic intensities with the Lorentz-polarization factor, no thermal factor.

Peak list (10 most intense, 2θ = 10–90°, in order of falling intensity)
two_theta, intensity
42.91, 1000
34.30, 814
41.75, 649
25.72, 473
41.53, 426
29.51, 392
35.33, 301
46.36, 279
35.69, 268
56.05, 260

```
data_InTePd3
_chemical_formula_sum 'In4 Te4 Pd12'
_symmetry_space_group_name_H-M 'C m m m'
_symmetry_Int_Tables_number 65
_symmetry_space_group_name_Hall '-C 2 2'
_cell_length_a 7.723
_cell_length_b 15.670
_cell_length_c 3.282
_cell_angle_alpha 90.00
_cell_angle_beta 90.00
_cell_angle_gamma 90.00
loop_
_atom_site_label
_atom_site_fract_x
_atom_site_fract_y
_atom_site_fract_z
_atom_site_occupancy
In1 0.000 0.000 0.000 1
In2 0.000 0.500 0.500 1
Te1 0.250 0.250 0.000 1
Pd1 0.000 0.362 0.000 1
Pd2 0.195 0.104 0.500 1
```